1.
Diffraction record for BaYTe2O8. The XRD peak list is simulated, not measured: it uses a cell relaxed with PBE and Cu Kα.

Structure:
```
BaYTe2O8
1.0
6.0694 0.0000 0.0000
-3.0347 5.2562 0.0000
0.0000 0.0000 7.7267
Ba Y Te O
1 1 2 8
Direct
0.0000 0.0000 0.0000
0.0000 0.0000 0.5000
0.3333 0.6667 0.7616
0.6667 0.3333 0.2384
0.1576 0.3178 0.6971
0.1603 0.8424 0.6971
0.3178 0.1603 0.3029
0.3333 0.6667 0.9998
0.6667 0.3333 0.0002
0.6822 0.8397 0.6971
0.8397 0.1576 0.3029
0.8424 0.6822 0.3029
```

Largest 10 diffraction maxima, by angle, 2θ = 10–90°:
Position (°2θ), Rel. int.
16.87, 15
20.44, 100
28.68, 71
29.43, 77
38.94, 18
41.56, 38
47.24, 22
51.74, 30
52.21, 15
56.47, 25



2.
Diffraction record for Ba3Yb2TeO5. The XRD peak list is simulated, not measured: it uses a cell relaxed with PBE and Cu Kα.

Structure:
```
Ba3Yb2TeO5
1.0
4.4267 0.0000 0.0000
0.0000 4.4267 0.0000
0.0000 0.0000 12.2796
Ba Yb Te O
3 2 1 5
Direct
0.0000 0.0000 0.0000
0.0000 0.0000 0.3285
0.0000 0.0000 0.6715
0.5000 0.5000 0.1748
0.5000 0.5000 0.8252
0.5000 0.5000 0.5000
0.0000 0.5000 0.2017
0.0000 0.5000 0.7983
0.5000 0.0000 0.2017
0.5000 0.0000 0.7983
0.5000 0.5000 0.0000
```

Largest 10 diffraction maxima, by angle, 2θ = 10–90°:
Position (°2θ), Rel. int.
28.52, 52
29.73, 100
40.77, 27
51.26, 44
53.49, 19
61.73, 13
66.83, 10
67.47, 10
81.92, 12
83.71, 11



3.
Diffraction record for Ba2Zn2TeO6. The XRD peak list is simulated, not measured: it uses a cell relaxed with PBE and Cu Kα.

Structure:
```
Ba2Zn2TeO6
1.0
3.0575 1.7652 5.7031
-3.0575 1.7652 5.7031
0.0000 -3.5305 5.7031
Ba Zn Te O
2 2 1 6
Direct
0.2149 0.2149 0.2149
0.7851 0.7851 0.7851
0.4192 0.4192 0.4192
0.5808 0.5808 0.5808
0.0000 0.0000 0.0000
0.2251 0.7607 0.7607
0.2393 0.2393 0.7749
0.2393 0.7749 0.2393
0.7607 0.2251 0.7607
0.7607 0.7607 0.2251
0.7749 0.2393 0.2393
```

Largest 10 diffraction maxima, by angle, 2θ = 10–90°:
Position (°2θ), Rel. int.
26.79, 19
29.21, 100
31.12, 74
40.05, 18
43.20, 32
51.79, 20
53.00, 36
57.05, 18
60.57, 18
69.67, 14



4.
Diffraction record for BaZn2TeO2. The XRD peak list is simulated, not measured: it uses a cell relaxed with PBE and Cu Kα.

Structure:
```
BaZn2TeO2
1.0
6.4489 0.0000 0.0000
0.0000 5.4497 0.0000
-2.3031 0.0000 7.6938
Ba Zn Te O
2 4 2 4
Direct
0.1865 0.2500 0.3673
0.8135 0.7500 0.6327
0.3672 0.0015 0.7930
0.3672 0.4985 0.7930
0.6328 0.5015 0.2070
0.6328 0.9985 0.2070
0.2500 0.7500 0.0535
0.7500 0.2500 0.9465
0.1580 0.2500 0.6768
0.4165 0.7500 0.6353
0.5835 0.2500 0.3647
0.8420 0.7500 0.3232
```

Largest 10 diffraction maxima, by angle, 2θ = 10–90°:
Position (°2θ), Rel. int.
22.62, 100
26.57, 46
28.40, 54
28.90, 30
33.78, 48
34.24, 26
36.58, 27
39.25, 24
46.18, 22
48.76, 24



5.
Diffraction record for BaThUO6. The XRD peak list is simulated, not measured: it uses a cell relaxed with PBE and Cu Kα.

Structure:
```
BaThUO6
1.0
6.1606 0.0000 0.0000
-3.0803 5.3352 0.0000
0.0000 0.0000 9.4574
Ba Th U O
2 2 2 12
Direct
0.3333 0.6667 0.2500
0.6667 0.3333 0.7500
0.0000 0.0000 0.0000
0.0000 0.0000 0.5000
0.3333 0.6667 0.7500
0.6667 0.3333 0.2500
0.0746 0.3621 0.6254
0.0746 0.7125 0.8746
0.2875 0.3621 0.8746
0.2875 0.9254 0.6254
0.3621 0.0746 0.1254
0.3621 0.2875 0.3746
0.6379 0.7125 0.6254
0.6379 0.9254 0.8746
0.7125 0.0746 0.3746
0.7125 0.6379 0.1254
0.9254 0.2875 0.1254
0.9254 0.6379 0.3746
```

Largest 10 diffraction maxima, by angle, 2θ = 10–90°:
Position (°2θ), Rel. int.
19.10, 11
25.17, 100
28.99, 63
38.76, 33
48.54, 41
49.12, 34
51.38, 18
65.70, 13
66.17, 14
73.37, 12



6.
Diffraction record for Ba4Ti11O26. The XRD peak list is simulated, not measured: it uses a cell relaxed with PBE and Cu Kα.

Structure:
```
Ba4Ti11O26
1.0
7.8496 0.0000 0.0000
1.9428 7.6970 0.0000
3.9163 1.5060 9.1209
Ba Ti O
4 11 26
Direct
0.0000 0.0000 0.0000
0.2081 0.2004 0.4728
0.4946 0.9855 0.9953
0.7134 0.2065 0.4591
0.1061 0.3503 0.1404
0.1142 0.8710 0.3227
0.2347 0.4562 0.8076
0.3653 0.5841 0.4678
0.4562 0.7771 0.6861
0.5794 0.3574 0.1323
0.6131 0.8749 0.3286
0.7190 0.4570 0.8043
0.8382 0.6143 0.0152
0.8625 0.5855 0.4685
0.9624 0.7722 0.6793
0.0690 0.1189 0.2535
0.0945 0.5725 0.9988
0.0954 0.6378 0.4807
0.2145 0.8107 0.1520
0.2156 0.2554 0.9464
0.2327 0.7108 0.6685
0.3322 0.3795 0.6221
0.3388 0.3251 0.1528
0.3537 0.9091 0.8196
0.3612 0.8369 0.3527
0.4607 0.4451 0.3266
0.4690 0.5141 0.7933
0.4965 0.9572 0.5204
0.6032 0.6184 0.4717
0.6103 0.5732 0.9984
0.6209 0.1026 0.2346
0.7008 0.2552 0.9428
0.7281 0.7686 0.1506
0.7316 0.7102 0.6707
0.8286 0.3802 0.1361
0.8441 0.3776 0.6223
0.8570 0.8299 0.3566
0.8571 0.8413 0.8597
0.9614 0.5094 0.8125
0.9745 0.9724 0.5505
0.9789 0.4524 0.3252
```

Largest 10 diffraction maxima, by angle, 2θ = 10–90°:
Position (°2θ), Rel. int.
19.46, 67
23.87, 69
28.78, 100
29.43, 67
29.82, 55
29.99, 80
31.25, 76
31.37, 72
43.65, 65
46.26, 73



7.
Diffraction record for Ba2Ti4O13. The XRD peak list is simulated, not measured: it uses a cell relaxed with PBE and Cu Kα.

Structure:
```
Ba2Ti4O13
1.0
7.3198 -1.9577 0.0000
7.3198 1.9577 0.0000
-1.6873 0.0000 9.7064
Ba Ti O
2 4 13
Direct
0.0793 0.0793 0.2566
0.9207 0.9207 0.7434
0.3322 0.3322 0.0747
0.3707 0.3707 0.3800
0.6293 0.6293 0.6200
0.6678 0.6678 0.9253
0.1196 0.1196 0.6107
0.1942 0.1942 0.9498
0.2647 0.2647 0.2468
0.3472 0.3472 0.5614
0.3863 0.3863 0.9226
0.4368 0.4368 0.2140
0.5000 0.5000 0.5000
0.5632 0.5632 0.7860
0.6137 0.6137 0.0774
0.6528 0.6528 0.4386
0.7353 0.7353 0.7532
0.8058 0.8058 0.0502
0.8804 0.8804 0.3893
```

Largest 10 diffraction maxima, by angle, 2θ = 10–90°:
Position (°2θ), Rel. int.
24.69, 48
24.86, 100
25.68, 49
28.23, 57
29.30, 50
29.87, 59
30.63, 44
31.82, 37
44.83, 50
46.37, 47